Simulated powder X-ray diffraction pattern
Compound: TmAlFe
Radiation: Cu Kα
Structure: DFT lattice parameters and positions (PBE)
No peak broadening, texture or thermal motion is included.

Peak list (6 most intense, 10 to 90 degrees two-theta, by intensity)
| 2theta | I (rel.) |
| --- | --- |
| 39.9 | 100 |
| 37.2 | 86 |
| 33.5 | 61 |
| 20.9 | 27 |
| 62.4 | 27 |
| 33.6 | 25 |

a = 8.5086 Å, b = 5.3447 Å, c = 5.3447 Å
α = 59.79°, β = 90.00°, γ = 90.00°
Fractional positions:
Tm (0.1849, 0.0000, 0.0000)
Tm (0.3019, 0.6698, 0.6698)
Tm (0.6981, 0.6698, 0.6698)
Tm (0.8151, 0.0000, 0.0000)
Al (0.0000, 0.4980, 0.4980)
Al (0.5000, 0.1688, 0.1688)
Al (0.5000, 0.1700, 0.6608)
Al (0.5000, 0.6608, 0.1700)
Fe (0.0000, 0.0051, 0.5023)
Fe (0.0000, 0.5023, 0.0051)
Fe (0.2394, 0.3275, 0.3275)
Fe (0.7606, 0.3275, 0.3275)

Simulated powder X-ray diffraction pattern
Compound: TmAlFe
Radiation: Cu Kα
Structure: DFT lattice parameters and positions (PBE)
No peak broadening, texture or thermal motion is included.

Peak list (6 most intense, 10 to 90 degrees two-theta, by intensity)
| 2theta | I (rel.) |
| --- | --- |
| 36.9 | 100 |
| 40.2 | 76 |
| 34.1 | 55 |
| 40.6 | 42 |
| 39.7 | 40 |
| 37.1 | 40 |

a = 8.6075 Å, b = 5.2665 Å, c = 5.2665 Å
α = 60.98°, β = 90.00°, γ = 90.00°
Fractional positions:
Tm (0.1761, 0.0000, 0.0000)
Tm (0.3036, 0.3355, 0.3355)
Tm (0.6964, 0.3355, 0.3355)
Tm (0.8239, 0.0000, 0.0000)
Al (0.2347, 0.6743, 0.6743)
Al (0.5000, 0.3286, 0.8340)
Al (0.5000, 0.8340, 0.3286)
Al (0.7653, 0.6743, 0.6743)
Fe (0.0000, 0.0244, 0.4889)
Fe (0.0000, 0.4889, 0.0244)
Fe (0.0000, 0.4955, 0.4955)
Fe (0.5000, 0.8355, 0.8355)

Simulated powder X-ray diffraction pattern
Compound: UAl6Fe6
Radiation: Cu Kα
Structure: DFT lattice parameters and positions (PBE)
No peak broadening, texture or thermal motion is included.

Peak list (6 most intense, 10 to 90 degrees two-theta, by intensity)
| 2theta | I (rel.) |
| --- | --- |
| 14.6 | 100 |
| 42.3 | 86 |
| 29.4 | 84 |
| 29.5 | 78 |
| 42.0 | 70 |
| 42.1 | 66 |

a = 6.5559 Å, b = 6.5559 Å, c = 6.5559 Å
α = 135.73°, β = 98.93°, γ = 97.39°
Fractional positions:
U (0.0000, 0.0000, 0.0000)
Al (0.1995, 0.6995, 0.5000)
Al (0.3420, 0.0000, 0.3420)
Al (0.3487, 0.3487, 0.0000)
Al (0.6513, 0.6513, 0.0000)
Al (0.6580, 0.0000, 0.6580)
Al (0.8005, 0.3005, 0.5000)
Fe (0.0000, 0.0000, 0.5000)
Fe (0.0000, 0.5000, 0.0000)
Fe (0.2316, 0.5000, 0.7316)
Fe (0.5000, 0.0000, 0.0000)
Fe (0.5000, 0.5000, 0.5000)
Fe (0.7684, 0.5000, 0.2684)

Simulated powder X-ray diffraction pattern
Compound: UAl4Fe8
Radiation: Cu Kα
Structure: DFT lattice parameters and positions (PBE)
No peak broadening, texture or thermal motion is included.

Peak list (6 most intense, 10 to 90 degrees two-theta, by intensity)
| 2theta | I (rel.) |
| --- | --- |
| 29.9 | 100 |
| 42.7 | 93 |
| 14.7 | 66 |
| 43.2 | 63 |
| 42.5 | 61 |
| 36.8 | 28 |

a = 6.4791 Å, b = 6.4791 Å, c = 6.4791 Å
α = 97.92°, β = 97.92°, γ = 136.41°
Fractional positions:
U (0.0000, 0.0000, 0.0000)
Al (0.0000, 0.3480, 0.3480)
Al (0.0000, 0.6520, 0.6520)
Al (0.3480, 0.0000, 0.3480)
Al (0.6520, 0.0000, 0.6520)
Fe (0.0000, 0.0000, 0.5000)
Fe (0.0000, 0.5000, 0.0000)
Fe (0.2739, 0.5000, 0.7739)
Fe (0.5000, 0.0000, 0.0000)
Fe (0.5000, 0.2739, 0.7739)
Fe (0.5000, 0.5000, 0.5000)
Fe (0.5000, 0.7261, 0.2261)
Fe (0.7261, 0.5000, 0.2261)

Simulated powder X-ray diffraction pattern
Compound: U2Al20Fe
Radiation: Cu Kα
Structure: DFT lattice parameters and positions (PBE)
No peak broadening, texture or thermal motion is included.

Peak list (6 most intense, 10 to 90 degrees two-theta, by intensity)
| 2theta | I (rel.) |
| --- | --- |
| 18.0 | 100 |
| 39.5 | 42 |
| 35.0 | 39 |
| 39.8 | 32 |
| 30.5 | 21 |
| 31.0 | 21 |

a = 10.2538 Å, b = 10.2538 Å, c = 10.2538 Å
α = 103.99°, β = 103.99°, γ = 121.10°
Fractional positions:
U (0.0859, 0.0859, 0.6751)
U (0.4108, 0.4108, 0.3249)
U (0.5892, 0.9141, 0.0000)
U (0.9141, 0.5892, 0.0000)
Al (0.0000, 0.1527, 0.1527)
Al (0.0000, 0.8473, 0.8473)
Al (0.0068, 0.3328, 0.8532)
Al (0.0324, 0.7642, 0.5872)
Al (0.0510, 0.3208, 0.5933)
Al (0.1527, 0.0000, 0.1527)
Al (0.1536, 0.4795, 0.1468)
Al (0.1769, 0.4451, 0.4128)
Al (0.2358, 0.8231, 0.2682)
Al (0.2432, 0.2432, 0.0000)
Al (0.2500, 0.7500, 0.5000)
Al (0.2507, 0.7251, 0.0000)
Al (0.2725, 0.6792, 0.7301)
Al (0.2749, 0.2749, 0.5256)
Al (0.3208, 0.0510, 0.5933)
Al (0.3328, 0.0068, 0.8532)
Al (0.3490, 0.5000, 0.8490)
Al (0.4451, 0.1769, 0.4128)
Al (0.4577, 0.7275, 0.4067)
Al (0.4795, 0.1536, 0.1468)
Al (0.5000, 0.3490, 0.8490)
Al (0.5000, 0.6510, 0.1510)
Al (0.5205, 0.6672, 0.6741)
Al (0.5423, 0.9490, 0.2699)
Al (0.5549, 0.9676, 0.7318)
Al (0.6510, 0.5000, 0.1510)
Al (0.6672, 0.5205, 0.6741)
Al (0.6792, 0.2725, 0.7301)
Al (0.7251, 0.2507, 0.0000)
Al (0.7275, 0.4577, 0.4067)
Al (0.7493, 0.7493, 0.4744)
Al (0.7500, 0.2500, 0.5000)
Al (0.7568, 0.7568, 0.0000)
Al (0.7642, 0.0324, 0.5872)
Al (0.8231, 0.2358, 0.2682)
Al (0.8464, 0.9932, 0.3259)
Al (0.8473, 0.0000, 0.8473)
Al (0.9490, 0.5423, 0.2699)
Al (0.9676, 0.5549, 0.7318)
Al (0.9932, 0.8464, 0.3259)
Fe (0.0000, 0.5000, 0.5000)
Fe (0.5000, 0.0000, 0.5000)

Simulated powder X-ray diffraction pattern
Compound: UAl9Fe3
Radiation: Cu Kα
Structure: DFT lattice parameters and positions (PBE)
No peak broadening, texture or thermal motion is included.

Peak list (6 most intense, 10 to 90 degrees two-theta, by intensity)
| 2theta | I (rel.) |
| --- | --- |
| 41.0 | 100 |
| 28.7 | 99 |
| 14.2 | 97 |
| 41.1 | 77 |
| 20.3 | 60 |
| 28.8 | 50 |

a = 6.7208 Å, b = 6.7208 Å, c = 6.6982 Å
α = 97.99°, β = 97.99°, γ = 135.86°
Fractional positions:
U (0.0000, 0.0000, 0.0000)
Al (0.0000, 0.0000, 0.5000)
Al (0.0011, 0.3544, 0.3386)
Al (0.2917, 0.5136, 0.7878)
Al (0.3544, 0.0011, 0.3386)
Al (0.4864, 0.7083, 0.2122)
Al (0.5136, 0.2917, 0.7878)
Al (0.6456, 0.9989, 0.6614)
Al (0.7083, 0.4864, 0.2122)
Al (0.9989, 0.6456, 0.6614)
Fe (0.0000, 0.5000, 0.0000)
Fe (0.5000, 0.0000, 0.0000)
Fe (0.5000, 0.5000, 0.5000)